(1)
For Pm3Y4Ho8, the GGA-PBE geometry in Alexandria gives the calculated powder diffractogram in this record (CuKα).

Principal peaks in the range 10 to 90 degrees two-theta, sorted by position:
| 2θ/deg | intensity | hkl |
| --- | --- | --- |
| 10.3 | 17.7 | 1 1 0 |
| 27.9 | 32.2 | 0 4 0 |
| 30.6 | 100.0 | 4 0 -2 |
| 30.9 | 46.8 | 4 0 0 |
| 31.9 | 36.5 | 0 4 1 |
| 41.9 | 41.4 | 4 4 -2 |
| 42.1 | 19.2 | 4 4 0 |
| 66.7 | 19.3 | 4 8 -2 |

```
data_Pm3Y4Ho8
_chemical_formula_sum 'Pm6 Y8 Ho16'
_space_group_name_H-M_alt 'C 1 2/m 1'
_space_group_IT_number 12
_cell_length_a 13.3907
_cell_length_b 12.7909
_cell_length_c 6.7642
_cell_angle_alpha 90.00
_cell_angle_beta 120.26
_cell_angle_gamma 90.00
loop_
_space_group_symop_operation_xyz
'x,y,z'
'-x,-y,-z'
'-x,y,-z'
'x,-y,z'
'x+1/2,y+1/2,z'
'-x+1/2,-y+1/2,-z'
'-x+1/2,y+1/2,-z'
'x+1/2,-y+1/2,z'
loop_
_atom_site_label
_atom_site_type_symbol
_atom_site_fract_x
_atom_site_fract_y
_atom_site_fract_z
Pm1 Pm 0.0000 0.0000 0.0000
Pm2 Pm 0.2500 0.2500 0.0000
Y1 Y 0.0000 0.5000 0.0000
Y2 Y 0.0000 0.5000 0.5000
Y3 Y 0.2500 0.2500 0.5000
Ho1 Ho 0.0000 0.1407 0.5000
Ho2 Ho 0.0000 0.2453 0.0000
Ho3 Ho 0.2302 0.0000 0.9624
Ho4 Ho 0.2336 0.0000 0.4887
```



(2)
For TlZn3I9, the GGA-PBE geometry in Alexandria gives the calculated powder diffractogram in this record (CuKα).

Principal peaks in the range 10 to 90 degrees two-theta, sorted by position:
| 2θ/deg | intensity | hkl |
| --- | --- | --- |
| 15.1 | 77.4 | 1 1 1 |
| 20.2 | 29.2 | 3 1 -3 |
| 23.6 | 47.1 | 5 1 -2 |
| 23.8 | 31.1 | 0 2 2 |
| 24.8 | 38.4 | 2 0 2 |
| 25.7 | 100.0 | 2 2 -3 |
| 26.1 | 28.3 | 3 1 -4 |
| 28.9 | 32.7 | 4 2 0 |

```
data_TlZn3I9
_chemical_formula_sum 'Tl4 Zn12 I36'
_space_group_name_H-M_alt 'C 1 c 1'
_space_group_IT_number 9
_cell_length_a 20.4613
_cell_length_b 10.0534
_cell_length_c 14.6890
_cell_angle_alpha 90.00
_cell_angle_beta 130.12
_cell_angle_gamma 90.00
loop_
_space_group_symop_operation_xyz
'x,y,z'
'x,-y,z+1/2'
'x+1/2,y+1/2,z'
'x+1/2,-y+1/2,z+1/2'
loop_
_atom_site_label
_atom_site_type_symbol
_atom_site_fract_x
_atom_site_fract_y
_atom_site_fract_z
Tl1 Tl 0.0000 0.2240 0.0000
Zn1 Zn 0.1358 0.1196 0.8285
Zn2 Zn 0.2292 0.4240 0.7214
Zn3 Zn 0.3586 0.0683 0.6705
I1 I 0.0118 0.0643 0.8322
I2 I 0.1035 0.3483 0.7202
I3 I 0.1482 0.0774 0.2199
I4 I 0.1558 0.3864 0.0599
I5 I 0.2324 0.2362 0.5933
I6 I 0.2990 0.1390 0.0245
I7 I 0.3657 0.4978 0.9344
I8 I 0.3908 0.0356 0.3658
I9 I 0.4856 0.1863 0.7049
```



(3)
For CaH11Rh5, the GGA-PBE geometry in Alexandria gives the calculated powder diffractogram in this record (CuKα).

Principal peaks in the range 10 to 90 degrees two-theta, sorted by position:
| 2θ/deg | intensity | hkl |
| --- | --- | --- |
| 14.9 | 50.5 | 0 0 1 |
| 22.4 | 100.0 | 1 1 -1 |
| 23.2 | 57.3 | 0 2 1 |
| 35.1 | 61.9 | 2 0 -1 |
| 36.7 | 42.8 | 1 3 1 |
| 39.0 | 66.5 | 0 4 1 |
| 42.0 | 51.0 | 1 3 -2 |
| 50.6 | 50.8 | 2 4 0 |

```
data_CaH11Rh5
_chemical_formula_sum 'Ca2 H22 Rh10'
_space_group_name_H-M_alt 'C 1 2/m 1'
_space_group_IT_number 12
_cell_length_a 5.2761
_cell_length_b 10.0279
_cell_length_c 6.0429
_cell_angle_alpha 90.00
_cell_angle_beta 100.48
_cell_angle_gamma 90.00
loop_
_space_group_symop_operation_xyz
'x,y,z'
'-x,-y,-z'
'-x,y,-z'
'x,-y,z'
'x+1/2,y+1/2,z'
'-x+1/2,-y+1/2,-z'
'-x+1/2,y+1/2,-z'
'x+1/2,-y+1/2,z'
loop_
_atom_site_label
_atom_site_type_symbol
_atom_site_fract_x
_atom_site_fract_y
_atom_site_fract_z
Ca1 Ca 0.0000 0.0000 0.0000
H1 H 0.0000 0.0000 0.5000
H2 H 0.0235 0.5000 0.3080
H3 H 0.0650 0.2058 0.3393
H4 H 0.1698 0.3519 0.0969
Rh1 Rh 0.0000 0.5000 0.0000
Rh2 Rh 0.2479 0.3614 0.3790
```



(4)
For Rb2Tl6Ga, the GGA-PBE geometry in Alexandria gives the calculated powder diffractogram in this record (CuKα).

Principal peaks in the range 10 to 90 degrees two-theta, sorted by position:
| 2θ/deg | intensity | hkl |
| --- | --- | --- |
| 10.1 | 66.7 | 1 1 0 |
| 25.9 | 49.4 | 1 3 0 |
| 29.5 | 70.6 | 2 0 1 |
| 29.6 | 100.0 | 4 0 -1 |
| 30.1 | 59.9 | 0 2 1 |
| 30.5 | 91.6 | 3 3 0 |
| 33.9 | 79.9 | 6 0 0 |
| 37.1 | 58.3 | 1 3 1 |

```
data_Rb2Tl6Ga
_chemical_formula_sum 'Rb4 Tl12 Ga2'
_space_group_name_H-M_alt 'C 1 2/m 1'
_space_group_IT_number 12
_cell_length_a 16.2873
_cell_length_b 10.5539
_cell_length_c 3.6815
_cell_angle_alpha 90.00
_cell_angle_beta 102.81
_cell_angle_gamma 90.00
loop_
_space_group_symop_operation_xyz
'x,y,z'
'-x,-y,-z'
'-x,y,-z'
'x,-y,z'
'x+1/2,y+1/2,z'
'-x+1/2,-y+1/2,-z'
'-x+1/2,y+1/2,-z'
'x+1/2,-y+1/2,z'
loop_
_atom_site_label
_atom_site_type_symbol
_atom_site_fract_x
_atom_site_fract_y
_atom_site_fract_z
Rb1 Rb 0.1354 0.0000 0.0427
Tl1 Tl 0.0000 0.2661 0.5000
Tl2 Tl 0.1731 0.3464 0.2555
Ga1 Ga 0.0000 0.5000 0.0000
```



Question: Number 3 is which compound?
Answer: CaH11Rh5